1.
Structure and computed PXRD pattern of ZnTeMoO6 (the PBE+U geometry in the Materials Project; Cu Ka).
Lines closer than 0.1° are merged.

Crystal structure
a b c (Å): 5.1014 5.3524 9.2058
angles (deg): 90.00 90.00 90.00
Space group P2_12_12 (No. 18)
Unique sites:
Zn 0.0000 0.0000 0.0249 [2 per cell]
Te 0.0000 0.5000 0.2400 [2 per cell]
Mo 0.0000 0.5000 0.6930 [2 per cell]
O 0.1569 0.2876 0.5798 [4 per cell]
O 0.2206 0.6740 0.1031 [4 per cell]
O 0.2372 0.1794 0.2059 [4 per cell]

The 6 most intense peaks (2θ = 15–90°), sorted by position:
| d (Å) | 2θ (°) | Rel. int. |
| --- | --- | --- |
| 4.603 | 19.28 | 21 |
| 3.693 | 24.10 | 35 |
| 3.423 | 26.03 | 41 |
| 2.880 | 31.05 | 100 |
| 1.846 | 49.36 | 22 |
| 1.582 | 58.34 | 20 |

2.
Structure and computed PXRD pattern of Li2VF6 (the PBE+U geometry in the Materials Project; Cu Ka).
Lines closer than 0.1° are merged.

Crystal structure
a b c (Å): 5.2292 8.7425 5.2308
angles (deg): 90.00 111.00 90.00
Space group P2_1 (No. 4)
Unique sites:
Li 0.0201 0.0000 0.2598 [2 per cell]
Li 0.4490 0.3297 0.3789 [2 per cell]
V 0.0073 0.1581 0.7444 [2 per cell]
F 0.1886 0.5043 0.1552 [2 per cell]
F 0.2073 0.1708 0.1296 [2 per cell]
F 0.2097 0.3142 0.6688 [2 per cell]
F 0.2167 0.6409 0.6244 [2 per cell]
F 0.2414 0.0150 0.6679 [2 per cell]
F 0.2416 0.8174 0.2483 [2 per cell]

The 6 most intense peaks (2θ = 15–90°), sorted by position:
| d (Å) | 2θ (°) | Rel. int. |
| --- | --- | --- |
| 4.882 | 18.17 | 100 |
| 4.371 | 20.32 | 43 |
| 4.263 | 20.84 | 84 |
| 3.866 | 23.01 | 68 |
| 2.414 | 37.25 | 39 |
| 1.934 | 46.99 | 72 |

3.
Structure and computed PXRD pattern of Sr2VO4 (the PBE+U geometry in the Materials Project; Cu Ka).
Lines closer than 0.1° are merged.

Crystal structure
a b c (Å): 12.9888 6.6541 11.3484
angles (deg): 90.00 90.00 90.00
Space group Pna2_1 (No. 33)
Unique sites:
Sr 0.1062 0.2224 0.2033 [4 per cell]
Sr 0.1115 0.6110 0.5000 [4 per cell]
Sr 0.1347 0.1146 0.7846 [4 per cell]
Sr 0.2409 0.6501 0.9629 [4 per cell]
V 0.0063 0.8117 0.0290 [4 per cell]
V 0.1475 0.7214 0.2172 [4 per cell]
O 0.0167 0.8329 0.8749 [4 per cell]
O 0.0515 0.9255 0.5949 [4 per cell]
O 0.0748 0.5500 0.0762 [4 per cell]
O 0.1181 0.2909 0.5874 [4 per cell]
O 0.1370 0.9233 0.0802 [4 per cell]
O 0.1661 0.8959 0.6152 [4 per cell]
O 0.1901 0.4803 0.3190 [4 per cell]
O 0.2173 0.9052 0.3188 [4 per cell]

The 6 most intense peaks (2θ = 15–90°), sorted by position:
| d (Å) | 2θ (°) | Rel. int. |
| --- | --- | --- |
| 3.595 | 24.76 | 67 |
| 3.457 | 25.77 | 43 |
| 3.269 | 27.28 | 49 |
| 3.223 | 27.68 | 41 |
| 2.823 | 31.70 | 100 |
| 2.129 | 42.45 | 33 |

4.
Structure and computed PXRD pattern of KPrYFeO6 (the PBE+U geometry in the Materials Project; Cu Ka).
Lines closer than 0.1° are merged.

Crystal structure
a b c (Å): 8.1048 8.1048 8.1048
angles (deg): 90.00 90.00 90.00
Space group F-43m (No. 216)
Unique sites:
K 0.0000 0.0000 0.0000 [4 per cell]
Pr 0.0000 0.0000 0.5000 [4 per cell]
Y 0.2500 0.2500 0.2500 [4 per cell]
Fe 0.2500 0.2500 0.7500 [4 per cell]
O 0.0194 0.2500 0.7500 [24 per cell]

The 6 most intense peaks (2θ = 15–90°), sorted by position:
| d (Å) | 2θ (°) | Rel. int. |
| --- | --- | --- |
| 4.679 | 18.97 | 25 |
| 2.865 | 31.21 | 100 |
| 2.026 | 44.73 | 35 |
| 1.654 | 55.55 | 37 |
| 1.433 | 65.11 | 20 |
| 1.281 | 73.97 | 17 |

5.
Structure and computed PXRD pattern of CoSnP2O8 (the PBE+U geometry in the Materials Project; Cu Ka).
Lines closer than 0.1° are merged.

Crystal structure
a b c (Å): 4.9757 11.7469 11.7605
angles (deg): 61.74 89.43 89.49
Space group P1 (No. 1)
Unique sites:
Co 0.0000 0.0000 0.0000 [1 per cell]
Co 0.0011 0.5004 0.4989 [1 per cell]
Co 0.1157 0.0268 0.5250 [1 per cell]
Co 0.1175 0.5293 0.0256 [1 per cell]
Sn 0.5160 0.7778 0.2771 [1 per cell]
Sn 0.5169 0.2788 0.7769 [1 per cell]
Sn 0.6015 0.2508 0.2487 [1 per cell]
Sn 0.6013 0.7514 0.7491 [1 per cell]
P 0.1615 0.3418 0.3406 [1 per cell]
P 0.1611 0.8428 0.8406 [1 per cell]
P 0.4680 0.5918 0.5899 [1 per cell]
P 0.4698 0.0918 0.0896 [1 per cell]
P 0.6485 0.4374 0.9363 [1 per cell]
P 0.6517 0.9372 0.4357 [1 per cell]
P 0.9559 0.6864 0.1854 [1 per cell]
P 0.9572 0.1873 0.6849 [1 per cell]
O 0.2077 0.4147 0.4147 [1 per cell]
O 0.2111 0.9156 0.9147 [1 per cell]
O 0.2606 0.7001 0.1996 [1 per cell]
O 0.2616 0.2013 0.7000 [1 per cell]
O 0.3092 0.2050 0.4009 [1 per cell]
O 0.3094 0.7057 0.9015 [1 per cell]
O 0.3094 0.9036 0.7039 [1 per cell]
O 0.3117 0.4039 0.2043 [1 per cell]
O 0.3231 0.6583 0.4538 [1 per cell]
O 0.3238 0.4556 0.6560 [1 per cell]
O 0.3247 0.1589 0.9541 [1 per cell]
O 0.3286 0.9547 0.1543 [1 per cell]
O 0.3466 0.4444 0.9459 [1 per cell]
O 0.3507 0.9456 0.4452 [1 per cell]
O 0.3845 0.1639 0.1660 [1 per cell]
O 0.3846 0.6660 0.6646 [1 per cell]
O 0.7341 0.3652 0.8600 [1 per cell]
O 0.7355 0.8632 0.3610 [1 per cell]
O 0.7689 0.5832 0.5801 [1 per cell]
O 0.7717 0.0847 0.0800 [1 per cell]
O 0.7896 0.5745 0.8718 [1 per cell]
O 0.7939 0.3703 0.0718 [1 per cell]
O 0.7945 0.0739 0.3698 [1 per cell]
O 0.7949 0.8713 0.5722 [1 per cell]
O 0.8062 0.1253 0.8210 [1 per cell]
O 0.8069 0.6256 0.3222 [1 per cell]
O 0.8080 0.3241 0.6246 [1 per cell]
O 0.8076 0.8235 0.1245 [1 per cell]
O 0.8561 0.8291 0.8267 [1 per cell]
O 0.8566 0.3285 0.3259 [1 per cell]
O 0.9062 0.6133 0.1117 [1 per cell]
O 0.9141 0.1147 0.6103 [1 per cell]

The 6 most intense peaks (2θ = 15–90°), sorted by position:
| d (Å) | 2θ (°) | Rel. int. |
| --- | --- | --- |
| 5.044 | 17.58 | 100 |
| 3.597 | 24.75 | 78 |
| 3.577 | 24.89 | 70 |
| 3.015 | 29.63 | 80 |
| 2.540 | 35.34 | 59 |
| 2.519 | 35.65 | 53 |

6.
Structure and computed PXRD pattern of CrO2 (the PBE+U geometry in the Materials Project; Cu Ka).
Lines closer than 0.1° are merged.

Crystal structure
a b c (Å): 2.9748 2.9748 20.6103
angles (deg): 90.00 90.00 120.00
Space group R-3m (No. 166, hexagonal axes)
Unique sites:
Cr 0.0000 0.0000 0.0000 [3 per cell]
O 0.0000 0.0000 0.3785 [6 per cell]

The 6 most intense peaks (2θ = 15–90°), sorted by position:
| d (Å) | 2θ (°) | Rel. int. |
| --- | --- | --- |
| 3.435 | 25.94 | 49 |
| 2.499 | 35.93 | 75 |
| 2.185 | 41.33 | 100 |
| 1.822 | 50.07 | 61 |
| 1.487 | 62.44 | 28 |
| 1.454 | 64.05 | 39 |

7.
Structure and computed PXRD pattern of MgMn6O8F4 (the PBE+U geometry in the Materials Project; Cu Ka).
Lines closer than 0.1° are merged.

Crystal structure
a b c (Å): 5.1757 5.7718 7.7174
angles (deg): 81.43 82.67 80.21
Space group P1 (No. 1)
Unique sites:
Mg 0.0000 0.0000 0.0000 [1 per cell]
Mn 0.0192 0.3748 0.1864 [1 per cell]
Mn 0.4860 0.1596 0.8314 [1 per cell]
Mn 0.4873 0.5162 0.4943 [1 per cell]
Mn 0.4930 0.8425 0.1740 [1 per cell]
Mn 0.9481 0.9875 0.4890 [1 per cell]
Mn 0.9523 0.6309 0.8150 [1 per cell]
O 0.1333 0.0296 0.2469 [1 per cell]
O 0.1367 0.6808 0.5815 [1 per cell]
O 0.1378 0.3294 0.9292 [1 per cell]
O 0.3737 0.8779 0.9417 [1 per cell]
O 0.6219 0.7971 0.3973 [1 per cell]
O 0.8189 0.3211 0.4136 [1 per cell]
O 0.8337 0.9765 0.7520 [1 per cell]
O 0.8509 0.6816 0.0668 [1 per cell]
F 0.3311 0.5240 0.2460 [1 per cell]
F 0.3512 0.2180 0.5836 [1 per cell]
F 0.6335 0.4625 0.7538 [1 per cell]
F 0.6570 0.1664 0.0776 [1 per cell]

The 6 most intense peaks (2θ = 15–90°), sorted by position:
| d (Å) | 2θ (°) | Rel. int. |
| --- | --- | --- |
| 3.911 | 22.74 | 100 |
| 3.198 | 27.90 | 70 |
| 2.565 | 34.98 | 36 |
| 2.537 | 35.39 | 47 |
| 2.530 | 35.49 | 25 |
| 1.470 | 63.27 | 24 |